1.
Calculated X-ray diffraction stick pattern
Compound: Tb2ScGa3Ni4
Radiation: CuKα
Structure: a crystal structure in Alexandria, relaxed with GGA-PBE
Peak positions follow from Bragg's law for the DFT cell and can differ from measured ones.

Cell lengths 4.029, 4.029, 10.604 Å; angles 90.00, 90.00, 90.00 degrees
Element x y z (fractional)
Tb 0.000 0.500 0.233
Tb 0.500 0.000 0.767
Sc 0.000 0.000 0.500
Ga 0.000 0.500 0.877
Ga 0.500 0.000 0.123
Ga 0.500 0.500 0.500
Ni 0.000 0.000 0.000
Ni 0.000 0.500 0.651
Ni 0.500 0.000 0.349
Ni 0.500 0.500 0.000

Most intense lines, 2θ from 5° to 70°, low angle first:
Position (°2θ), d (Å), I (rel.)
31.4, 2.849, 24
33.7, 2.656, 72
35.8, 2.509, 100
45.0, 2.014, 52
48.5, 1.877, 29
57.4, 1.605, 34

=====

2.
Calculated X-ray diffraction stick pattern
Compound: Ca3ZnPd3
Radiation: CuKα
Structure: a crystal structure in Alexandria, relaxed with GGA-PBE
Peak positions follow from Bragg's law for the DFT cell and can differ from measured ones.

Cell lengths 5.694, 5.694, 13.983 Å; angles 90.00, 90.00, 136.03 degrees
Element x y z (fractional)
Ca 0.013 0.987 0.750
Ca 0.292 0.708 0.604
Ca 0.292 0.708 0.896
Ca 0.708 0.292 0.104
Ca 0.708 0.292 0.396
Ca 0.987 0.013 0.250
Zn 0.000 0.000 0.000
Zn 0.000 0.000 0.500
Pd 0.277 0.723 0.250
Pd 0.421 0.579 0.087
Pd 0.421 0.579 0.413
Pd 0.579 0.421 0.587
Pd 0.579 0.421 0.913
Pd 0.723 0.277 0.750

Most intense lines, 2θ from 5° to 70°, low angle first:
Position (°2θ), d (Å), I (rel.)
18.0, 4.939, 30
21.1, 4.213, 47
34.2, 2.619, 49
38.4, 2.346, 100
39.2, 2.297, 34
42.4, 2.132, 37